For Pa5P4C, the PBE geometry in Alexandria gives the simulated PXRD pattern in this record (Cu Ka).
No peak broadening, texture or thermal motion is included.

abc: 8.6951 8.6951 5.5448
angles: 90.00 90.00 90.00
Space group I4/m (No. 87)
One atom of each set of equivalent atoms:
1 Pa 0.0000 0.0000 0.0000 x2
2 Pa 0.0952 0.2806 0.5000 x8
3 P 0.0924 0.3032 0.0000 x8
4 C 0.0000 0.0000 0.5000 x2

The 10 most intense peaks (2θ = 5–70°), by intensity:
(2 1 1), d = 3.184 Å, I = 100; (1 3 0), d = 2.750 Å, I = 56; (1 3 2), d = 1.952 Å, I = 42; (0 0 2), d = 2.772 Å, I = 29; (5 0 1), d = 1.659 Å, I = 28; (4 2 2), d = 1.592 Å, I = 21; (4 2 0), d = 1.944 Å, I = 19; (2 1 3), d = 1.669 Å, I = 17; (2 6 0), d = 1.375 Å, I = 6; (0 0 4), d = 1.386 Å, I = 4

For Pm2PC, the PBE geometry in Alexandria gives the simulated PXRD pattern in this record (Cu Ka).
No peak broadening, texture or thermal motion is included.

abc: 3.8843 3.8843 19.7104
angles: 90.00 90.00 120.00
Space group R-3m (No. 166, hexagonal axes)
One atom of each set of equivalent atoms:
1 Pm 0.0000 0.0000 0.2412 x6
2 P 0.0000 0.0000 0.0000 x3
3 C 0.0000 0.0000 0.5000 x3

The 10 most intense peaks (2θ = 5–70°), by intensity:
(1 0 4), d = 2.778 Å, I = 100; (0 1 2), d = 3.184 Å, I = 82; (1 1 0), d = 1.942 Å, I = 36; (0 1 8), d = 1.988 Å, I = 33; (0 0 6), d = 3.285 Å, I = 26; (1 1 6), d = 1.672 Å, I = 24; (0 2 4), d = 1.592 Å, I = 18; (2 0 2), d = 1.658 Å, I = 13; (2 0 8), d = 1.389 Å, I = 10; (1 0 10), d = 1.701 Å, I = 10

For Pr8P3CS4, the PBE geometry in Alexandria gives the simulated PXRD pattern in this record (Cu Ka).
No peak broadening, texture or thermal motion is included.

abc: 8.2275 8.2275 20.2912
angles: 90.00 90.00 120.00
Space group R-3m (No. 166, hexagonal axes)
One atom of each set of equivalent atoms:
1 Pr 0.0000 0.0000 0.2478 x6
2 Pr 0.0168 0.5084 0.2440 x18
3 P 0.0000 0.5000 0.5000 x9
4 C 0.0000 0.0000 0.5000 x3
5 S 0.0000 0.0000 0.0000 x3
6 S 0.0000 0.5000 0.0000 x9

The 10 most intense peaks (2θ = 5–70°), by intensity:
(0 2 4), d = 2.915 Å, I = 100; (2 0 2), d = 3.361 Å, I = 61; (2 2 0), d = 2.057 Å, I = 36; (2 0 8), d = 2.066 Å, I = 35; (0 4 2), d = 1.756 Å, I = 28; (0 0 6), d = 3.382 Å, I = 20; (4 0 4), d = 1.681 Å, I = 18; (0 4 8), d = 1.458 Å, I = 11; (0 2 10), d = 1.763 Å, I = 9; (0 0 12), d = 1.691 Å, I = 6

For Pu4PC2, the PBE geometry in Alexandria gives the simulated PXRD pattern in this record (Cu Ka).
No peak broadening, texture or thermal motion is included.

abc: 3.7229 12.1173 11.5919
angles: 90.00 90.00 90.00
Space group Cmcm (No. 63)
One atom of each set of equivalent atoms:
1 Pu 0.0000 0.0000 0.0000 x4
2 Pu 0.0000 0.2742 0.1204 x8
3 Pu 0.0000 0.4153 0.7500 x4
4 P 0.0000 0.0876 0.7500 x4
5 C 0.0000 0.3612 0.5532 x8

The 10 most intense peaks (2θ = 5–70°), by intensity:
(0 2 4), d = 2.616 Å, I = 100; (1 3 1), d = 2.664 Å, I = 59; (0 4 0), d = 3.032 Å, I = 55; (1 5 4), d = 1.663 Å, I = 26; (2 2 4), d = 1.516 Å, I = 24; (1 3 0), d = 2.737 Å, I = 22; (1 7 0), d = 1.570 Å, I = 18; (2 0 0), d = 1.861 Å, I = 17; (0 4 1), d = 2.931 Å, I = 15; (0 4 2), d = 2.685 Å, I = 14

For Re2PC, the PBE geometry in Alexandria gives the simulated PXRD pattern in this record (Cu Ka).
No peak broadening, texture or thermal motion is included.

abc: 5.0722 5.0722 9.5359
angles: 90.00 90.00 90.00
Space group I-42d (No. 122)
One atom of each set of equivalent atoms:
1 Re 0.1995 0.2500 0.1250 x8
2 P 0.0000 0.0000 0.5000 x4
3 C 0.0000 0.0000 0.0000 x4

The 10 most intense peaks (2θ = 5–70°), by intensity:
(1 1 2), d = 2.866 Å, I = 100; (2 0 4), d = 1.737 Å, I = 26; (2 0 0), d = 2.536 Å, I = 24; (3 1 2), d = 1.520 Å, I = 20; (2 1 1), d = 2.207 Å, I = 13; (0 0 4), d = 2.384 Å, I = 13; (1 1 6), d = 1.453 Å, I = 13; (2 2 0), d = 1.793 Å, I = 12; (2 2 4), d = 1.433 Å, I = 7; (2 1 3), d = 1.846 Å, I = 6

For Th4PC2S, the PBE geometry in Alexandria gives the simulated PXRD pattern in this record (Cu Ka).
No peak broadening, texture or thermal motion is included.

abc: 6.7400 3.8906 7.0348
angles: 90.00 108.58 90.00
Space group P2/m (No. 10)
One atom of each set of equivalent atoms:
1 Th 0.2363 0.0000 0.2146 x2
2 Th 0.2599 0.5000 0.7834 x2
3 P 0.0000 0.0000 0.5000 x1
4 C 0.0000 0.5000 0.0000 x1
5 C 0.5000 0.0000 0.0000 x1
6 S 0.5000 0.5000 0.5000 x1

The 10 most intense peaks (2θ = 5–70°), by intensity:
(1 1 -1), d = 3.193 Å, I = 100; (2 0 -2), d = 2.795 Å, I = 100; (0 2 0), d = 1.945 Å, I = 38; (0 0 2), d = 3.333 Å, I = 33; (1 1 -3), d = 2.008 Å, I = 31; (3 1 -3), d = 1.680 Å, I = 28; (2 2 -2), d = 1.597 Å, I = 19; (4 0 -2), d = 1.661 Å, I = 16; (2 0 1), d = 2.577 Å, I = 12; (3 1 2), d = 1.464 Å, I = 11

For Sm6PC2Se3, the PBE geometry in Alexandria gives the simulated PXRD pattern in this record (Cu Ka).
No peak broadening, texture or thermal motion is included.

abc: 17.7031 3.9562 8.2010
angles: 90.00 105.46 90.00
Space group C2/m (No. 12)
One atom of each set of equivalent atoms:
1 Sm 0.0164 0.0000 0.2507 x4
2 Sm 0.1675 0.5000 0.1176 x4
3 Sm 0.1775 0.5000 0.5599 x4
4 P 0.0000 0.5000 0.0000 x2
5 C 0.1692 0.0000 0.3359 x4
6 Se 0.0000 0.5000 0.5000 x2
7 Se 0.1627 0.0000 0.8320 x4

The 10 most intense peaks (2θ = 5–70°), by intensity:
(1 1 -2), d = 2.845 Å, I = 100; (3 1 0), d = 3.248 Å, I = 25; (5 1 2), d = 1.987 Å, I = 23; (7 1 -2), d = 2.038 Å, I = 20; (4 0 -2), d = 3.386 Å, I = 18; (6 2 0), d = 1.624 Å, I = 14; (0 2 0), d = 1.978 Å, I = 13; (2 0 2), d = 3.269 Å, I = 12; (2 2 -4), d = 1.423 Å, I = 12; (5 1 -1), d = 2.617 Å, I = 12

For SiPC, the PBE geometry in Alexandria gives the simulated PXRD pattern in this record (Cu Ka).
No peak broadening, texture or thermal motion is included.

abc: 11.5496 3.1669 4.7535
angles: 90.00 104.41 90.00
Space group Cm (No. 8)
One atom of each set of equivalent atoms:
1 Si 0.0000 0.0000 0.0000 x2
2 Si 0.1140 0.5000 0.5943 x2
3 P 0.3242 0.5000 0.6025 x2
4 P 0.3419 0.0000 0.2910 x2
5 C 0.1013 0.0000 0.7725 x2
6 C 0.4963 0.0000 0.2232 x2

The 10 most intense peaks (2θ = 5–70°), by intensity:
(1 1 -1), d = 2.624 Å, I = 100; (2 0 1), d = 3.187 Å, I = 58; (4 0 -1), d = 2.708 Å, I = 31; (1 1 2), d = 1.780 Å, I = 30; (4 0 0), d = 2.797 Å, I = 27; (5 1 -2), d = 1.598 Å, I = 24; (0 2 0), d = 1.584 Å, I = 18; (2 0 0), d = 5.593 Å, I = 17; (0 0 1), d = 4.604 Å, I = 13; (4 0 1), d = 2.163 Å, I = 13